Calculated X-ray diffraction stick pattern of Nd3Au4 for Cu Kα (weighted mean of Kα1 and Kα2), from the GGA-PBE geometry in Alexandria.
No peak broadening, texture or thermal motion is included.

Most intense lines, 10° ≤ 2θ ≤ 90°, by angle:
Position (°2θ)	Rel. int.
30.33	22
32.48	11
34.01	100
35.00	89
35.49	16
39.62	19
49.60	21
61.51	16
61.83	12
63.41	12

Cell and atoms:
```
data_Nd3Au4
_chemical_formula_sum 'Nd18 Au24'
_cell_length_a 13.9482
_cell_length_b 13.9482
_cell_length_c 6.1965
_cell_angle_alpha 90.00
_cell_angle_beta 90.00
_cell_angle_gamma 120.00
_space_group_name_H-M_alt 'R -3'
_space_group_IT_number 148
_space_group_name_Hall '-R 3'
loop_
_atom_site_label
_atom_site_type_symbol
_atom_site_fract_x
_atom_site_fract_y
_atom_site_fract_z
_atom_site_occupancy
Nd1 Nd 0.0427 0.2132 0.2277 1
Au1 Au 0.0000 0.0000 0.0000 1
Au2 Au 0.0000 0.0000 0.5000 1
Au3 Au 0.0559 0.2735 0.7105 1
```